Theoretical powder diffraction line list of Li2NpTe3 for λ = 1.5418 Å (Cu Kα), from the GGA-PBE geometry in Alexandria.
Neutral-atom scattering factors, no anomalous dispersion.

Crystal structure
abc: 7.3656 4.3627 10.4825
angles: 90.00 90.52 90.00
Positions (direct):
Li (0.0721, 0.2500, 0.1829)
Li (0.2363, 0.7500, 0.5168)
Li (0.7637, 0.2500, 0.4832)
Li (0.9279, 0.7500, 0.8171)
Np (0.4092, 0.2500, 0.8213)
Np (0.5908, 0.7500, 0.1787)
Te (0.0738, 0.2500, 0.6663)
Te (0.2542, 0.7500, 0.9987)
Te (0.4148, 0.2500, 0.3355)
Te (0.5852, 0.7500, 0.6645)
Te (0.7458, 0.2500, 0.0013)
Te (0.9262, 0.7500, 0.3337)

Largest 6 diffraction maxima, sorted by position, 5 to 70 degrees two-theta:
2θ (°)  I/Imax
12.0  36
14.6  25
29.2  100
29.8  47
41.4  25
42.2  90


Theoretical powder diffraction line list of Li4TmNp3Te8 for λ = 1.5418 Å (Cu Kα), from the GGA-PBE geometry in Alexandria.
Neutral-atom scattering factors, no anomalous dispersion.

Crystal structure
abc: 8.6697 8.6697 8.6540
angles: 119.12 119.12 60.77
Positions (direct):
Li (0.0000, 0.0000, 0.0000)
Li (0.0000, 0.5000, 0.5000)
Li (0.5000, 0.0000, 0.5000)
Li (0.5000, 0.5000, 0.0000)
Tm (0.0000, 0.0000, 0.5000)
Np (0.0000, 0.5000, 0.0000)
Np (0.5000, 0.0000, 0.0000)
Np (0.5000, 0.5000, 0.5000)
Te (0.2411, 0.7514, 0.7495)
Te (0.2462, 0.2462, 0.2520)
Te (0.2489, 0.2489, 0.7420)
Te (0.2486, 0.7589, 0.2505)
Te (0.7514, 0.2411, 0.7495)
Te (0.7511, 0.7511, 0.2580)
Te (0.7538, 0.7538, 0.7480)
Te (0.7589, 0.2486, 0.2505)

Largest 6 diffraction maxima, sorted by position, 5 to 70 degrees two-theta:
2θ (°)  I/Imax
12.6  40
23.8  34
29.0  100
41.1  39
41.7  37
51.1  21


Theoretical powder diffraction line list of LiO8 for λ = 1.5418 Å (Cu Kα), from the GGA-PBE geometry in Alexandria.
Neutral-atom scattering factors, no anomalous dispersion.

Crystal structure
abc: 4.7220 4.9885 5.3973
angles: 103.32 94.45 115.77
Positions (direct):
Li (0.0000, 0.0000, 0.0000)
O (0.0913, 0.4508, 0.6884)
O (0.1242, 0.4791, 0.0866)
O (0.3920, 0.0562, 0.7887)
O (0.4624, 0.1265, 0.2025)
O (0.5389, 0.8985, 0.7656)
O (0.6086, 0.9665, 0.1818)
O (0.9181, 0.5805, 0.6993)
O (0.9467, 0.6081, 0.1129)

Largest 6 diffraction maxima, sorted by position, 5 to 70 degrees two-theta:
2θ (°)  I/Imax
17.2  56
21.7  100
34.9  41
35.5  18
36.4  60
42.1  17


Theoretical powder diffraction line list of LiO8 for λ = 1.5418 Å (Cu Kα), from the GGA-PBE geometry in Alexandria.
Neutral-atom scattering factors, no anomalous dispersion.

Crystal structure
abc: 5.6631 5.6631 4.6585
angles: 112.72 112.72 70.92
Positions (direct):
Li (0.0000, 0.0000, 0.0000)
O (0.1377, 0.6051, 0.8371)
O (0.1757, 0.1757, 0.8258)
O (0.2068, 0.6752, 0.1486)
O (0.2474, 0.2474, 0.1351)
O (0.5380, 0.5380, 0.8575)
O (0.6051, 0.1377, 0.8371)
O (0.6047, 0.6047, 0.1575)
O (0.6752, 0.2068, 0.1486)

Largest 6 diffraction maxima, sorted by position, 5 to 70 degrees two-theta:
2θ (°)  I/Imax
17.4  50
21.7  100
32.7  28
35.1  69
35.4  55
51.6  18